Record 1
Structure and simulated powder diffractogram of ErAgTe2 (a PBE-relaxed structure; λ = 1.5418 Å (Cu Kα)).

Cell and atoms:
```
ErAgTe2
1.0
4.490 0.000 0.000
-2.245 3.888 0.000
0.000 0.000 7.292
Er Ag Te
1 1 2
Cartesian
0.000 0.000 0.000 Er
0.000 2.592 2.908 Ag
0.000 2.592 5.698 Te
2.245 1.296 1.782 Te
```

Most intense lines, 10° ≤ 2θ ≤ 80°, by angle:
- 12.14°, I 22
- 25.97°, I 100
- 33.70°, I 74
- 40.17°, I 64
- 43.93°, I 43
- 48.46°, I 18
- 53.41°, I 20
- 61.03°, I 16
- 68.89°, I 18
- 75.61°, I 17



Record 2
Structure and simulated powder diffractogram of Er7Ag2Te2 (a PBE-relaxed structure; λ = 1.5418 Å (Cu Kα)).

Cell and atoms:
```
Er7Ag2Te2
1.0
-2.034 7.732 4.828
2.034 -7.732 4.828
2.034 7.732 -4.828
Er Ag Te
7 2 2
Cartesian
0.000 0.000 0.000 Er
2.034 2.826 -1.184 Er
2.034 -2.157 2.367 Er
2.034 2.157 2.367 Er
2.034 5.810 0.864 Er
0.000 4.906 3.644 Er
0.000 1.922 5.692 Er
0.000 3.655 0.723 Ag
0.000 11.809 0.723 Ag
0.000 0.000 3.281 Te
0.000 7.732 2.302 Te
```

Most intense lines, 10° ≤ 2θ ≤ 80°, by angle:
- 27.94°, I 18
- 29.28°, I 50
- 30.35°, I 23
- 32.80°, I 50
- 33.29°, I 100
- 33.65°, I 49
- 35.57°, I 20
- 37.48°, I 23
- 44.55°, I 30
- 56.41°, I 22



Record 3
Structure and simulated powder diffractogram of ErTmAg2 (a PBE-relaxed structure; λ = 1.5418 Å (Cu Kα)).

Cell and atoms:
```
ErTmAg2
1.0
0.000 3.603 3.603
3.603 0.000 3.603
3.603 3.603 0.000
Er Tm Ag
1 1 2
Cartesian
0.000 0.000 0.000 Er
3.603 3.603 3.603 Tm
1.801 1.801 1.801 Ag
5.404 5.404 5.404 Ag
```

Most intense lines, 10° ≤ 2θ ≤ 80°, by angle:
- 24.71°, I 4
- 35.23°, I 100
- 43.51°, I 1
- 50.67°, I 18
- 57.17°, I 2
- 63.22°, I 36
- 74.49°, I 11
- 79.87°, I 1



Record 4
Structure and simulated powder diffractogram of Er2ZnAg (a PBE-relaxed structure; λ = 1.5418 Å (Cu Kα)).

Cell and atoms:
```
Er2ZnAg
1.0
0.000 3.577 3.577
3.577 0.000 3.577
3.577 3.577 0.000
Er Zn Ag
2 1 1
Cartesian
1.788 1.788 1.788 Er
5.365 5.365 5.365 Er
0.000 0.000 0.000 Zn
3.577 3.577 3.577 Ag
```

Most intense lines, 10° ≤ 2θ ≤ 80°, by angle:
- 21.52°, I 2
- 24.89°, I 10
- 35.49°, I 100
- 41.88°, I 1
- 43.84°, I 3
- 51.07°, I 18
- 57.63°, I 4
- 63.73°, I 36
- 75.12°, I 11



Record 5
Structure and simulated powder diffractogram of Eu3Ag (a PBE-relaxed structure; λ = 1.5418 Å (Cu Kα)).

Cell and atoms:
```
Eu3Ag
1.0
5.104 0.000 0.000
0.000 5.104 0.000
0.000 0.000 5.104
Eu Ag
3 1
Cartesian
0.000 0.000 2.552 Eu
0.000 2.552 0.000 Eu
2.552 0.000 0.000 Eu
2.552 2.552 2.552 Ag
```

Most intense lines, 10° ≤ 2θ ≤ 80°, by angle:
- 17.38°, I 1
- 24.67°, I 1
- 30.33°, I 100
- 35.17°, I 51
- 39.48°, I 1
- 43.43°, I 1
- 50.58°, I 36
- 60.13°, I 42
- 63.10°, I 12
- 74.34°, I 6



Record 6
Structure and simulated powder diffractogram of EuGaAg (a PBE-relaxed structure; λ = 1.5418 Å (Cu Kα)).

Cell and atoms:
```
EuGaAg
1.0
5.377 -2.394 0.000
5.377 2.394 0.000
-5.292 0.000 5.595
Eu Ga Ag
2 2 2
Cartesian
-1.121 0.000 1.664 Eu
6.582 0.000 3.931 Eu
-1.043 0.000 4.965 Ga
6.504 0.000 0.630 Ga
2.084 0.000 1.504 Ag
3.378 0.000 4.090 Ag
```

Most intense lines, 10° ≤ 2θ ≤ 80°, by angle:
- 31.43°, I 46
- 31.62°, I 57
- 31.99°, I 41
- 32.30°, I 100
- 33.33°, I 26
- 36.43°, I 21
- 37.57°, I 60
- 39.39°, I 78
- 50.16°, I 22
- 61.66°, I 20



What is the formula in the third record?
ErTmAg2



What is the formula in the fourth record?
Er2ZnAg